Entry 1:
Pr3Sm4Er: simulated powder diffractogram (λ = 1.5418 Å (Cu Kα)), based on the PBE geometry in Alexandria.

Peak list (6 most intense, 2θ from 15° to 90°, sorted by position)
- d = 3.192 Å, 28.0 deg, I = 235
- d = 2.941 Å, 30.4 deg, I = 252
- d = 2.806 Å, 31.9 deg, I = 1000
- d = 2.163 Å, 41.8 deg, I = 160
- d = 1.671 Å, 55.0 deg, I = 214
- d = 1.561 Å, 59.2 deg, I = 152

Structural model:
```
16
Lattice="11.765 0.000 0.000 0.000 7.383 0.000 0.000 0.000 6.375" Properties=species:S:1:pos:R:3 pbc="T T T"
Pr 0.000 0.939 0.000
Pr 2.939 0.922 2.126
Pr 2.944 6.460 5.313
Pr 5.882 6.444 3.188
Pr 8.826 0.922 2.126
Pr 8.821 6.460 5.313
Sm 0.000 2.779 3.201
Sm 0.000 4.610 6.372
Sm 2.907 4.610 2.127
Sm 2.975 2.773 5.314
Sm 5.882 2.773 3.184
Sm 5.882 4.603 0.013
Sm 8.790 2.773 5.314
Sm 8.858 4.610 2.127
Er 0.000 6.449 3.179
Er 5.882 0.934 6.367
```



Entry 2:
MgAs: simulated powder diffractogram (λ = 1.5418 Å (Cu Kα)), based on the PBE geometry in Alexandria.

Peak list (6 most intense, 2θ from 15° to 90°, sorted by position)
- d = 3.490 Å, 25.5 deg, I = 1000
- d = 2.325 Å, 38.7 deg, I = 993
- d = 2.015 Å, 45.0 deg, I = 459
- d = 1.745 Å, 52.4 deg, I = 139
- d = 1.523 Å, 60.8 deg, I = 243
- d = 1.215 Å, 78.8 deg, I = 222

Structural model:
```
6
Lattice="3.490 2.015 3.118 -3.490 2.015 3.118 0.000 -4.030 3.118" Properties=species:S:1:pos:R:3 pbc="T T T"
Mg -1.268 -1.834 3.118
Mg -0.954 2.015 3.118
Mg -1.268 1.834 6.236
As 0.000 0.000 1.270
As 0.000 0.000 4.677
As 0.000 0.000 8.084
```



Entry 3:
Sm2Tm3Sc8: simulated powder diffractogram (λ = 1.5418 Å (Cu Kα)), based on the PBE geometry in Alexandria.

Peak list (6 most intense, 2θ from 15° to 90°, sorted by position)
- d = 3.037 Å, 29.4 deg, I = 471
- d = 2.703 Å, 33.1 deg, I = 605
- d = 2.660 Å, 33.7 deg, I = 579
- d = 2.636 Å, 34.0 deg, I = 680
- d = 2.585 Å, 34.7 deg, I = 687
- d = 2.523 Å, 35.6 deg, I = 1000

Structural model:
```
13
Lattice="7.010 -4.276 0.000 7.010 4.276 0.000 -0.970 0.000 6.265" Properties=species:S:1:pos:R:3 pbc="T T T"
Sm 2.660 0.000 1.582
Sm 10.390 0.000 4.683
Tm -0.485 0.000 3.133
Tm 7.010 2.762 0.000
Tm 7.010 -2.762 0.000
Sc 4.952 1.505 3.524
Sc 2.317 0.000 4.731
Sc 5.760 0.000 0.789
Sc 8.097 1.505 2.741
Sc 4.952 -1.505 3.524
Sc 7.290 0.000 5.476
Sc 10.732 0.000 1.534
Sc 8.097 -1.505 2.741
```